Record 1
Starting from a crystal structure in Alexandria, relaxed with PBE, the X-ray powder pattern of K4CrCl6 was computed for λ = 1.5418 Å (Cu Kα).
No peak broadening, texture or thermal motion is included.

```
data_K4CrCl6
_symmetry_space_group_name_H-M 'P 4/m n c'
_symmetry_Int_Tables_number 128
_symmetry_space_group_name_Hall '-P 4 2n'
_cell_length_a 8.6045
_cell_length_b 8.6045
_cell_length_c 8.7558
_cell_angle_alpha 90.00
_cell_angle_beta 90.00
_cell_angle_gamma 90.00
loop_
_atom_site_label
_atom_site_type_symbol
_atom_site_fract_x
_atom_site_fract_y
_atom_site_fract_z
K1 K 0.1697 0.3303 0.2500
Cr1 Cr 0.0000 0.0000 0.0000
Cl1 Cl 0.0000 0.0000 0.2721
Cl2 Cl 0.0952 0.7055 0.0000
```

Principal peaks in the range 2θ = 15–90°, sorted by position:
2θ/deg	d/Å	Rel. int.	h k l
29.36	3.042	11	2 2 0
30.94	2.890	100	2 1 2
32.39	2.764	15	1 0 3
32.91	2.721	69	3 1 0
34.52	2.598	15	3 1 1
41.24	2.189	21	0 0 4
47.24	1.924	15	4 2 0
53.74	1.706	24	3 1 4
64.48	1.445	10	4 2 4
68.84	1.364	12	6 0 2



Record 2
Starting from a crystal structure in Alexandria, relaxed with PBE, the X-ray powder pattern of Cs2K6PdO was computed for λ = 1.5418 Å (Cu Kα).
No peak broadening, texture or thermal motion is included.

```
data_Cs2K6PdO
_symmetry_space_group_name_H-M 'C 1 m 1'
_symmetry_Int_Tables_number 8
_cell_length_a 10.5634
_cell_length_b 11.6920
_cell_length_c 10.1547
_cell_angle_alpha 90.00
_cell_angle_beta 115.90
_cell_angle_gamma 90.00
loop_
_symmetry_equiv_pos_as_xyz
'x,y,z'
'x,-y,z'
'x+1/2,y+1/2,z'
'x+1/2,-y+1/2,z'
loop_
_atom_site_label
_atom_site_type_symbol
_atom_site_fract_x
_atom_site_fract_y
_atom_site_fract_z
Cs1 Cs 0.0000 0.1940 0.0000
K1 K 0.0402 0.5000 0.5879
K2 K 0.1592 0.0000 0.6600
K3 K 0.2257 0.2893 0.4685
K4 K 0.3095 0.5000 0.2615
K5 K 0.4032 0.0000 0.2053
Pd1 Pd 0.1551 0.0000 0.3270
O1 O 0.1531 0.5000 0.4008
```

Principal peaks in the range 2θ = 15–90°, sorted by position:
2θ/deg	d/Å	Rel. int.	h k l
16.86	5.259	94	2 0 -1
18.02	4.924	96	0 2 1
22.74	3.910	59	2 2 -1
24.64	3.613	92	2 0 1
24.74	3.599	100	0 2 2
28.07	3.179	38	1 3 1
28.89	3.090	43	1 3 -2
31.11	2.874	42	2 2 -3
34.11	2.628	47	4 0 -2
36.56	2.458	42	3 3 0



Record 3
Starting from a crystal structure in Alexandria, relaxed with PBE, the X-ray powder pattern of UTlCuO4 was computed for λ = 1.5418 Å (Cu Kα).
No peak broadening, texture or thermal motion is included.

```
data_UTlCuO4
_symmetry_space_group_name_H-M 'I m m a'
_symmetry_Int_Tables_number 74
_symmetry_space_group_name_Hall '-I 2b 2'
_cell_length_a 5.9543
_cell_length_b 6.9696
_cell_length_c 11.4504
_cell_angle_alpha 90.00
_cell_angle_beta 90.00
_cell_angle_gamma 90.00
loop_
_atom_site_label
_atom_site_type_symbol
_atom_site_fract_x
_atom_site_fract_y
_atom_site_fract_z
U1 U 0.0000 0.0000 0.0000
Tl1 Tl 0.0000 0.2500 0.3154
Cu1 Cu 0.2500 0.2500 0.7500
O1 O 0.0000 0.0595 0.8262
O2 O 0.2132 0.2500 0.0184
```

Principal peaks in the range 2θ = 15–90°, sorted by position:
2θ/deg	d/Å	Rel. int.	h k l
16.78	5.283	56	1 0 1
25.08	3.551	35	1 1 2
27.76	3.213	86	1 0 3
30.02	2.977	100	0 2 2
30.74	2.909	85	1 2 1
33.66	2.663	40	2 1 1
37.16	2.419	25	1 1 4
42.97	2.105	35	2 2 2
50.06	1.822	40	1 2 5
60.44	1.532	24	1 4 3



Record 4
Starting from a crystal structure in Alexandria, relaxed with PBE, the X-ray powder pattern of Ga2Te3 was computed for λ = 1.5418 Å (Cu Kα).
No peak broadening, texture or thermal motion is included.

```
data_Ga2Te3
_symmetry_space_group_name_H-M 'C 1 2/m 1'
_symmetry_Int_Tables_number 12
_cell_length_a 14.0000
_cell_length_b 4.1171
_cell_length_c 11.4625
_cell_angle_alpha 90.00
_cell_angle_beta 97.33
_cell_angle_gamma 90.00
loop_
_symmetry_equiv_pos_as_xyz
'x,y,z'
'-x,-y,-z'
'-x,y,-z'
'x,-y,z'
'x+1/2,y+1/2,z'
'-x+1/2,-y+1/2,-z'
'-x+1/2,y+1/2,-z'
'x+1/2,-y+1/2,z'
loop_
_atom_site_label
_atom_site_type_symbol
_atom_site_fract_x
_atom_site_fract_y
_atom_site_fract_z
Ga1 Ga 0.0781 0.0000 0.2843
Ga2 Ga 0.1682 0.5000 0.8829
Te1 Te 0.1161 0.0000 0.7297
Te2 Te 0.1379 0.0000 0.0639
Te3 Te 0.1443 0.5000 0.4080
```

Principal peaks in the range 2θ = 15–90°, sorted by position:
2θ/deg	d/Å	Rel. int.	h k l
18.87	4.702	27	2 0 -2
22.53	3.947	21	1 1 0
25.30	3.521	43	2 0 -3
25.66	3.471	84	4 0 0
27.98	3.188	100	1 1 2
32.14	2.785	23	1 1 -3
38.35	2.347	48	1 1 -4
43.98	2.059	72	0 2 0
45.26	2.004	30	3 1 4
51.62	1.771	26	4 2 0



Record 5
Starting from a crystal structure in Alexandria, relaxed with PBE, the X-ray powder pattern of La5ScAu6 was computed for λ = 1.5418 Å (Cu Kα).
No peak broadening, texture or thermal motion is included.

```
data_La5ScAu6
_symmetry_space_group_name_H-M 'C 1 2/m 1'
_symmetry_Int_Tables_number 12
_cell_length_a 16.6301
_cell_length_b 7.4953
_cell_length_c 5.1953
_cell_angle_alpha 90.00
_cell_angle_beta 108.08
_cell_angle_gamma 90.00
loop_
_symmetry_equiv_pos_as_xyz
'x,y,z'
'-x,-y,-z'
'-x,y,-z'
'x,-y,z'
'x+1/2,y+1/2,z'
'-x+1/2,-y+1/2,-z'
'-x+1/2,y+1/2,-z'
'x+1/2,-y+1/2,z'
loop_
_atom_site_label
_atom_site_type_symbol
_atom_site_fract_x
_atom_site_fract_y
_atom_site_fract_z
La1 La 0.0000 0.0000 0.0000
La2 La 0.1641 0.0000 0.6644
La3 La 0.1732 0.5000 0.6734
Sc1 Sc 0.0000 0.5000 0.0000
Au1 Au 0.0000 0.2872 0.5000
Au2 Au 0.1523 0.2709 0.1526
```

Principal peaks in the range 2θ = 15–90°, sorted by position:
2θ/deg	d/Å	Rel. int.	h k l
24.05	3.700	5	2 0 1
34.05	2.633	100	2 2 1
34.53	2.598	22	2 0 -2
48.59	1.874	6	0 4 0
49.20	1.852	7	4 0 2
49.32	1.848	7	8 0 -2
60.64	1.527	6	6 4 0
60.93	1.520	18	2 4 -2
61.56	1.506	15	0 2 3
71.64	1.317	5	4 4 2



Record 6
Starting from a crystal structure in Alexandria, relaxed with PBE, the X-ray powder pattern of PuFeGe2 was computed for λ = 1.5418 Å (Cu Kα).
No peak broadening, texture or thermal motion is included.

```
data_PuFeGe2
_symmetry_space_group_name_H-M 'P n m a'
_symmetry_Int_Tables_number 62
_cell_length_a 6.6436
_cell_length_b 4.2021
_cell_length_c 10.1983
_cell_angle_alpha 90.00
_cell_angle_beta 90.00
_cell_angle_gamma 90.00
loop_
_symmetry_equiv_pos_as_xyz
'x,y,z'
'-x,-y,-z'
'-x+1/2,-y,z+1/2'
'x+1/2,y,-z+1/2'
'x+1/2,-y+1/2,-z+1/2'
'-x+1/2,y+1/2,z+1/2'
'-x,y+1/2,-z'
'x,-y+1/2,z'
loop_
_atom_site_label
_atom_site_type_symbol
_atom_site_fract_x
_atom_site_fract_y
_atom_site_fract_z
Pu1 Pu 0.1953 0.2500 0.1293
Fe1 Fe 0.0126 0.7500 0.3920
Ge1 Ge 0.1200 0.2500 0.8235
Ge2 Ge 0.1959 0.2500 0.4238
```

Principal peaks in the range 2θ = 15–90°, sorted by position:
2θ/deg	d/Å	Rel. int.	h k l
21.97	4.045	44	1 0 2
26.58	3.354	56	1 1 1
26.84	3.322	32	2 0 0
33.92	2.643	40	0 1 3
34.42	2.606	76	2 1 0
35.20	2.550	58	0 0 4
35.56	2.525	81	2 1 1
36.59	2.456	100	1 1 3
43.05	2.101	59	0 2 0
43.77	2.068	61	2 1 3



Record 7
Starting from a crystal structure in Alexandria, relaxed with PBE, the X-ray powder pattern of Ca2Al3Ge4 was computed for λ = 1.5418 Å (Cu Kα).
No peak broadening, texture or thermal motion is included.

```
data_Ca2Al3Ge4
_symmetry_space_group_name_H-M 'C m c e'
_symmetry_Int_Tables_number 64
_symmetry_space_group_name_Hall '-C 2ac 2'
_cell_length_a 5.9579
_cell_length_b 15.3531
_cell_length_c 7.9312
_cell_angle_alpha 90.00
_cell_angle_beta 90.00
_cell_angle_gamma 90.00
loop_
_atom_site_label
_atom_site_type_symbol
_atom_site_fract_x
_atom_site_fract_y
_atom_site_fract_z
Ca1 Ca 0.0000 0.1130 0.0838
Al1 Al 0.0000 0.0000 0.5000
Al2 Al 0.2500 0.2178 0.7500
Ge1 Ge 0.0000 0.1852 0.4522
Ge2 Ge 0.2500 0.0514 0.7500
```

Principal peaks in the range 2θ = 15–90°, sorted by position:
2θ/deg	d/Å	Rel. int.	h k l
25.28	3.523	25	0 2 2
25.79	3.455	31	0 4 1
32.25	2.776	32	2 2 0
34.21	2.621	55	2 2 1
34.76	2.581	75	1 5 1
35.93	2.500	55	0 2 3
36.91	2.435	26	0 6 1
37.77	2.382	100	2 0 2
48.27	1.885	20	2 6 1
52.03	1.758	19	2 4 3



Record 8
Starting from a crystal structure in Alexandria, relaxed with PBE, the X-ray powder pattern of Tm4CuGe3 was computed for λ = 1.5418 Å (Cu Kα).
No peak broadening, texture or thermal motion is included.

```
data_Tm4CuGe3
_symmetry_space_group_name_H-M 'P m m 2'
_symmetry_Int_Tables_number 25
_cell_length_a 3.9610
_cell_length_b 4.1504
_cell_length_c 10.6339
_cell_angle_alpha 90.00
_cell_angle_beta 90.00
_cell_angle_gamma 90.00
loop_
_symmetry_equiv_pos_as_xyz
'x,y,z'
'-x,-y,z'
'-x,y,z'
'x,-y,z'
loop_
_atom_site_label
_atom_site_type_symbol
_atom_site_fract_x
_atom_site_fract_y
_atom_site_fract_z
Tm1 Tm 0.0000 0.0000 0.0000
Tm2 Tm 0.0000 0.5000 0.4960
Tm3 Tm 0.5000 0.0000 0.7199
Tm4 Tm 0.5000 0.5000 0.2213
Cu1 Cu 0.0000 0.0000 0.2853
Ge1 Ge 0.0000 0.5000 0.7709
Ge2 Ge 0.5000 0.0000 0.4376
Ge3 Ge 0.5000 0.5000 0.9435
```

Principal peaks in the range 2θ = 15–90°, sorted by position:
2θ/deg	d/Å	Rel. int.	h k l
28.09	3.176	28	1 0 2
32.36	2.767	100	1 1 1
33.24	2.695	37	0 1 3
33.71	2.658	30	0 0 4
40.48	2.228	50	1 1 3
40.88	2.207	14	1 0 4
43.62	2.075	24	0 2 0
45.82	1.981	21	2 0 0
57.77	1.596	16	2 1 3
75.38	1.261	16	2 2 4